Structure and simulated X-ray powder pattern of Y2CrFeO6 (a PBE+U-relaxed structure; Cu Kα).
Neutral-atom scattering factors, no anomalous dispersion.

Largest 12 diffraction maxima, sorted by position, 10 to 90 degrees two-theta:
hkl 1 1 -2, d = 3.422 Å, I = 36.3; hkl 0 2 0, d = 2.796 Å, I = 39.2; hkl 1 1 1, d = 2.701 Å, I = 99.7; hkl 1 1 -3, d = 2.691 Å, I = 100.0; hkl 2 0 -2, d = 2.634 Å, I = 47.1; hkl 0 2 1, d = 2.624 Å, I = 19.2; hkl 2 2 -2, d = 1.917 Å, I = 41.8; hkl 0 0 4, d = 1.896 Å, I = 32.1; hkl 2 2 -3, d = 1.859 Å, I = 22.0; hkl 1 3 -2, d = 1.712 Å, I = 31.0; hkl 3 1 -1, d = 1.535 Å, I = 33.9; hkl 3 1 -5, d = 1.530 Å, I = 26.5

Structural model:
Lattice parameters (Å, degrees): 5.2681 5.5930 9.2105 90.00 124.58 90.00
Space group P2_1/c (No. 14)
Inequivalent atoms, fractional coordinates:
Y (0.2297, 0.0703, 0.2495) (multiplicity 4)
Cr (0.5000, 0.0000, 0.0000) (multiplicity 2)
Fe (0.0000, 0.0000, 0.5000) (multiplicity 2)
O (0.1360, 0.1980, 0.9442) (multiplicity 4)
O (0.2506, 0.6955, 0.9458) (multiplicity 4)
O (0.3538, 0.0360, 0.7465) (multiplicity 4)